This entry pairs a crystal structure of TiPb2Se2ClO7F with its computed X-ray powder pattern. Radiation: λ = 1.5418 Å (Cu Kα). Structure: a PBE-relaxed structure.
Peak positions follow from Bragg's law for the DFT cell and can differ from measured ones.

Peak list (10 most intense, 2θ = 5–70°, in order of falling intensity)
Position (°2θ)	intensity	h k l
27.93	100	2 1 0
23.52	76	1 1 -2
23.28	71	1 1 1
32.25	66	2 1 -3
11.39	64	1 0 -1
32.81	64	0 2 0
29.16	56	1 1 2
26.26	40	0 0 3
42.51	30	0 2 3
43.45	26	4 0 -1

Crystal structure
```
data_TiPb2Se2ClO7F
_chemical_formula_sum 'Ti2 Pb4 Se4 Cl2 O14 F2'
_space_group_name_H-M_alt 'P 1 21 1'
_space_group_IT_number 4
_space_group_name_Hall 'P 2yb'
_cell_length_a 8.4768
_cell_length_b 5.4570
_cell_length_c 10.9506
_cell_angle_alpha 90.00
_cell_angle_beta 111.61
_cell_angle_gamma 90.00
loop_
_atom_site_label
_atom_site_fract_x
_atom_site_fract_y
_atom_site_fract_z
Ti1 0.1509 0.0000 0.0428
Pb1 0.2081 0.0013 0.4963
Pb2 0.3328 0.4576 0.8100
Se1 0.0089 0.0057 0.7216
Se2 0.3737 0.4975 0.1910
Cl1 0.3747 0.5222 0.5497
O1 0.0268 0.2965 0.0319
O2 0.0594 0.2319 0.6298
O3 0.0793 0.7540 0.6625
O4 0.1763 0.0676 0.8709
O5 0.3323 0.7240 0.0688
O6 0.3783 0.2315 0.1043
O7 0.4123 0.0517 0.7332
F1 0.1784 0.9526 0.2224
```